Record 1
# SrLaSm14
Theoretical XRD peak list, a wavelength of 1.5418 Å. Input: a cell relaxed with PBE.

Structure:
abc: 7.344 7.344 10.330
angles: 90.00 90.00 90.00
Element x y z (fractional)
Sr: 0.000 0.000 0.000
La: 0.500 0.500 0.000
Sm: 0.000 0.000 0.500
Sm: 0.000 0.500 0.000
Sm: 0.000 0.500 0.500
Sm: 0.255 0.255 0.256
Sm: 0.255 0.255 0.744
Sm: 0.255 0.745 0.256
Sm: 0.255 0.745 0.744
Sm: 0.500 0.000 0.000
Sm: 0.500 0.000 0.500
Sm: 0.500 0.500 0.500
Sm: 0.745 0.255 0.256
Sm: 0.745 0.255 0.744
Sm: 0.745 0.745 0.256
Sm: 0.745 0.745 0.744

Top 6 peaks for 2θ = 10–80°, in order of rising 2θ:
Position (°2θ)  d [Å]  Rel. int.
29.86  2.993  1000
34.54  2.596  340
34.74  2.582  166
49.80  1.831  239
59.02  1.565  289
59.28  1.559  140



Record 2
# La3Tb8Sm3
Theoretical XRD peak list, a wavelength of 1.5418 Å. Input: a cell relaxed with PBE.

Structure:
abc: 9.828 9.828 9.828
angles: 146.03 112.70 77.57
Element x y z (fractional)
La: 0.000 0.000 0.000
La: 0.185 0.685 0.500
La: 0.815 0.315 0.500
Tb: 0.119 0.281 0.838
Tb: 0.238 0.898 0.340
Tb: 0.442 0.102 0.340
Tb: 0.442 0.281 0.162
Tb: 0.558 0.719 0.838
Tb: 0.558 0.898 0.660
Tb: 0.762 0.102 0.660
Tb: 0.881 0.719 0.162
Sm: 0.201 0.500 0.701
Sm: 0.500 0.500 0.000
Sm: 0.799 0.500 0.299

Top 6 peaks for 2θ = 10–80°, in order of rising 2θ:
Position (°2θ)  d [Å]  Rel. int.
29.20  3.059  319
30.21  2.958  329
31.16  2.871  530
31.41  2.848  1000
33.14  2.703  580
43.95  2.060  236



Record 3
# La5Tb4Sm
Theoretical XRD peak list, a wavelength of 1.5418 Å. Input: a cell relaxed with PBE.

Structure:
abc: 3.705 3.705 25.313
angles: 90.00 90.00 90.00
Element x y z (fractional)
La: 0.000 0.000 0.000
La: 0.000 0.000 0.199
La: 0.000 0.000 0.398
La: 0.000 0.000 0.602
La: 0.000 0.000 0.801
Tb: 0.500 0.500 0.099
Tb: 0.500 0.500 0.298
Tb: 0.500 0.500 0.702
Tb: 0.500 0.500 0.901
Sm: 0.500 0.500 0.500

Top 6 peaks for 2θ = 10–80°, in order of rising 2θ:
Position (°2θ)  d [Å]  Rel. int.
29.89  2.990  1000
34.23  2.620  350
35.46  2.531  158
50.11  1.820  237
58.63  1.575  297
60.26  1.536  135



Record 4
# La2Tb3Sm5
Theoretical XRD peak list, a wavelength of 1.5418 Å. Input: a cell relaxed with PBE.

Structure:
abc: 9.800 9.800 9.493
angles: 108.71 108.71 112.21
Element x y z (fractional)
La: 0.017 0.269 0.050
La: 0.269 0.017 0.550
La: 0.731 0.983 0.450
La: 0.983 0.731 0.950
Tb: 0.024 0.976 0.750
Tb: 0.223 0.466 0.457
Tb: 0.466 0.223 0.957
Tb: 0.534 0.777 0.043
Tb: 0.777 0.534 0.543
Tb: 0.976 0.024 0.250
Sm: 0.149 0.385 0.778
Sm: 0.229 0.771 0.750
Sm: 0.273 0.727 0.250
Sm: 0.385 0.149 0.278
Sm: 0.470 0.530 0.250
Sm: 0.530 0.470 0.750
Sm: 0.615 0.851 0.722
Sm: 0.727 0.273 0.750
Sm: 0.771 0.229 0.250
Sm: 0.851 0.615 0.222

Top 6 peaks for 2θ = 10–80°, in order of rising 2θ:
Position (°2θ)  d [Å]  Rel. int.
29.70  3.008  1000
30.30  2.950  947
31.86  2.808  228
32.77  2.733  468
48.63  1.872  197
64.39  1.447  214



Record 5
# La3Tb4Sm5
Theoretical XRD peak list, a wavelength of 1.5418 Å. Input: a cell relaxed with PBE.

Structure:
abc: 6.307 7.258 8.919
angles: 89.99 89.86 89.92
Element x y z (fractional)
La: 0.000 0.000 0.000
La: 0.165 0.252 0.334
La: 0.835 0.748 0.666
Tb: 0.169 0.748 0.334
Tb: 0.334 0.499 0.666
Tb: 0.666 0.501 0.334
Tb: 0.831 0.252 0.666
Sm: 0.000 0.500 0.000
Sm: 0.335 0.000 0.666
Sm: 0.498 0.748 0.000
Sm: 0.502 0.252 0.000
Sm: 0.665 0.000 0.334

Top 6 peaks for 2θ = 10–80°, in order of rising 2θ:
Position (°2θ)  d [Å]  Rel. int.
30.09  2.970  1000
34.80  2.578  170
34.93  2.569  337
50.14  1.819  303
59.50  1.553  145
59.65  1.550  251



Record 6
# La5Tb4Sm2
Theoretical XRD peak list, a wavelength of 1.5418 Å. Input: a cell relaxed with PBE.

Structure:
abc: 9.189 9.189 11.819
angles: 93.78 93.78 22.50
Element x y z (fractional)
La: 0.000 0.000 0.000
La: 0.324 0.324 0.927
La: 0.404 0.404 0.466
La: 0.596 0.596 0.534
La: 0.676 0.676 0.073
Tb: 0.140 0.140 0.799
Tb: 0.466 0.466 0.738
Tb: 0.534 0.534 0.262
Tb: 0.860 0.860 0.201
Sm: 0.216 0.216 0.352
Sm: 0.784 0.784 0.648

Top 6 peaks for 2θ = 10–80°, in order of rising 2θ:
Position (°2θ)  d [Å]  Rel. int.
29.40  3.038  243
29.76  3.002  239
30.27  2.952  914
31.25  2.862  1000
32.35  2.767  383
60.98  1.519  298